This entry pairs a crystal structure of Mn2PC5NO11 with its theoretical PXRD pattern. Radiation: CuKα. Structure: a structure optimized by DFT (GGA+U).
Kinematic intensities with the Lorentz-polarization factor, no thermal factor.

```
Mn2PC5NO11
1.0
7.473 0.000 0.000
0.950 7.655 0.000
1.887 2.212 9.157
Mn P C N O
4 2 10 2 22
Cartesian
2.135 4.167 2.355 Mn
3.388 7.559 5.642 Mn
6.921 2.308 3.515 Mn
8.175 5.700 6.801 Mn
1.982 3.011 5.366 P
8.328 6.856 3.790 P
2.860 6.467 8.743 C
0.637 0.010 0.010 C
3.100 0.008 0.012 C
4.343 2.575 2.495 C
5.507 5.884 6.315 C
4.803 3.984 2.842 C
5.967 7.293 6.661 C
7.210 9.859 9.144 C
9.673 9.857 9.146 C
7.450 3.400 0.413 C
1.868 0.036 0.017 N
8.442 9.831 9.139 N
1.747 6.674 5.126 O
1.354 5.883 2.682 O
2.461 6.747 7.554 O
1.650 1.592 5.968 O
2.046 4.607 0.119 O
3.387 3.239 4.909 O
3.973 7.774 4.079 O
3.163 2.465 2.015 O
4.327 5.760 5.890 O
3.994 4.933 2.578 O
5.119 8.220 6.553 O
5.191 1.648 2.603 O
6.316 4.934 6.578 O
5.983 4.107 3.267 O
7.147 7.402 7.142 O
6.336 2.094 5.078 O
6.923 6.628 4.248 O
8.264 5.261 9.037 O
8.660 8.275 3.189 O
7.849 3.121 1.603 O
8.955 3.985 6.475 O
8.562 3.193 4.030 O
```

Principal peaks in the range 2θ from 10° to 90°, in order of falling intensity:
| 2theta | I/Imax |
| --- | --- |
| 12.1 | 100.0 |
| 28.2 | 92.1 |
| 21.4 | 81.4 |
| 13.5 | 69.8 |
| 20.2 | 59.4 |
| 23.6 | 45.2 |
| 24.7 | 35.9 |
| 25.5 | 30.7 |
| 37.9 | 30.5 |
| 29.3 | 28.9 |



This entry pairs a crystal structure of MgMn6O7F5 with its theoretical PXRD pattern. Radiation: CuKα. Structure: a structure optimized by DFT (GGA+U).
Kinematic intensities with the Lorentz-polarization factor, no thermal factor.

```
MgMn6O7F5
1.0
5.795 0.000 0.000
2.149 5.429 0.000
2.478 2.022 7.041
Mg Mn O F
1 6 7 5
Cartesian
0.000 0.000 0.000 Mg
4.996 5.668 4.584 Mn
4.695 5.226 1.595 Mn
5.922 2.569 5.723 Mn
5.146 1.871 2.363 Mn
7.961 3.723 3.466 Mn
6.816 2.778 0.011 Mn
1.100 1.169 1.154 O
3.938 4.762 3.302 O
4.955 4.240 5.856 O
3.953 0.699 0.677 O
5.369 3.419 1.203 O
6.188 2.685 3.788 O
9.228 6.355 5.842 O
2.381 3.929 1.287 F
3.112 1.868 3.315 F
6.178 6.814 5.889 F
6.918 5.519 3.389 F
8.004 3.564 5.655 F
```

Principal peaks in the range 2θ from 10° to 90°, in order of falling intensity:
| 2theta | I/Imax |
| --- | --- |
| 27.3 | 100.0 |
| 25.1 | 67.6 |
| 33.5 | 64.0 |
| 34.4 | 28.2 |
| 33.7 | 27.1 |
| 40.1 | 22.4 |
| 53.6 | 21.7 |
| 58.0 | 20.8 |
| 56.3 | 20.2 |
| 52.2 | 17.3 |



This entry pairs a crystal structure of Ca2Nb2NiO8 with its theoretical PXRD pattern. Radiation: CuKα. Structure: a structure optimized by DFT (GGA+U).
Kinematic intensities with the Lorentz-polarization factor, no thermal factor.

```
Ca2Nb2NiO8
1.0
9.444 -3.152 0.000
9.444 3.152 0.000
-0.119 0.000 5.484
Ca Nb Ni O
4 4 2 16
Cartesian
3.881 1.161 1.330 Ca
3.822 -1.161 4.071 Ca
14.947 1.161 1.412 Ca
14.888 -1.161 4.154 Ca
7.344 0.977 1.344 Nb
11.484 0.977 1.398 Nb
7.285 -0.977 4.086 Nb
11.425 -0.977 4.140 Nb
9.355 2.264 4.113 Ni
9.414 -2.264 1.371 Ni
3.383 0.935 4.625 O
8.340 2.256 2.299 O
10.489 2.256 0.443 O
5.962 0.368 2.704 O
8.041 0.814 4.969 O
3.442 -0.935 1.883 O
5.903 -0.368 5.446 O
10.669 0.814 3.257 O
8.101 -0.814 2.227 O
12.866 0.368 0.037 O
15.327 0.935 3.601 O
10.728 -0.814 0.515 O
12.807 -0.368 2.779 O
8.281 -2.256 5.041 O
10.429 -2.256 3.185 O
15.387 -0.935 0.859 O
```

Principal peaks in the range 2θ from 10° to 90°, in order of falling intensity:
| 2theta | I/Imax |
| --- | --- |
| 31.8 | 100.0 |
| 32.4 | 85.9 |
| 32.8 | 81.7 |
| 27.5 | 69.9 |
| 32.7 | 58.4 |
| 49.7 | 52.1 |
| 58.4 | 50.1 |
| 19.9 | 34.6 |
| 43.6 | 27.7 |
| 57.4 | 26.0 |



This entry pairs a crystal structure of NiPO4 with its theoretical PXRD pattern. Radiation: CuKα. Structure: a structure optimized by DFT (GGA+U).
Kinematic intensities with the Lorentz-polarization factor, no thermal factor.

```
NiPO4
1.0
7.347 0.000 0.000
-3.673 6.363 0.000
0.000 0.000 9.374
Ni P O
6 6 24
Cartesian
-1.746 3.882 0.000 Ni
1.184 2.909 0.000 Ni
1.927 2.480 4.687 Ni
0.562 5.934 0.000 Ni
4.235 0.429 4.687 Ni
4.858 3.453 4.687 Ni
0.000 0.000 0.466 P
0.000 0.000 5.153 P
0.000 4.242 2.907 P
0.000 4.242 6.554 P
3.673 2.121 1.867 P
3.673 2.121 7.594 P
0.000 0.000 1.985 O
0.000 0.000 6.672 O
-1.153 3.345 3.379 O
-0.027 1.469 9.306 O
-2.388 5.652 9.306 O
-1.468 4.213 6.106 O
1.286 0.711 4.619 O
0.000 4.242 1.306 O
0.000 4.242 8.172 O
0.759 2.985 6.106 O
-0.200 5.689 3.379 O
2.206 2.150 1.419 O
1.353 3.691 3.379 O
3.473 0.674 8.066 O
0.709 5.527 6.106 O
2.520 3.018 8.066 O
4.382 0.835 1.419 O
3.673 2.121 3.485 O
3.673 2.121 5.993 O
2.415 5.605 9.306 O
4.432 3.378 1.419 O
3.646 4.894 4.619 O
6.088 0.758 4.619 O
5.027 2.671 8.066 O
```

Principal peaks in the range 2θ from 10° to 90°, in order of falling intensity:
| 2theta | I/Imax |
| --- | --- |
| 30.9 | 100.0 |
| 24.2 | 96.4 |
| 18.9 | 91.5 |
| 31.9 | 66.6 |
| 34.1 | 62.0 |
| 13.9 | 59.9 |
| 28.0 | 59.3 |
| 47.7 | 41.9 |
| 42.2 | 38.4 |
| 38.7 | 35.0 |



This entry pairs a crystal structure of CeTlW2O8 with its theoretical PXRD pattern. Radiation: CuKα. Structure: a structure optimized by DFT (GGA+U).
Kinematic intensities with the Lorentz-polarization factor, no thermal factor.

```
CeTlW2O8
1.0
5.491 -5.464 0.000
5.491 5.464 0.000
-4.742 0.000 5.769
Ce Tl W O
2 2 4 16
Cartesian
1.935 3.022 4.327 Ce
4.306 -3.022 1.442 Ce
4.306 3.230 1.442 Tl
1.935 -3.230 4.327 Tl
-0.352 0.074 4.524 W
2.019 -0.074 1.640 W
4.221 0.074 4.130 W
6.592 -0.074 1.245 W
0.557 0.912 1.077 O
-0.521 1.713 3.639 O
-1.814 -0.912 3.962 O
3.164 0.709 0.328 O
2.743 1.170 3.051 O
0.794 -0.709 3.213 O
1.850 -1.713 0.754 O
1.127 1.170 5.603 O
5.114 -1.170 0.166 O
4.390 1.713 5.015 O
5.447 0.709 2.557 O
3.498 -1.170 2.718 O
3.076 -0.709 5.441 O
8.054 0.912 1.807 O
6.761 -1.713 2.130 O
5.683 -0.912 4.692 O
```

Principal peaks in the range 2θ from 10° to 90°, in order of falling intensity:
| 2theta | I/Imax |
| --- | --- |
| 26.6 | 100.0 |
| 29.0 | 74.2 |
| 32.7 | 33.3 |
| 31.0 | 31.2 |
| 27.9 | 16.5 |
| 32.9 | 16.3 |
| 60.1 | 16.1 |
| 45.7 | 15.0 |
| 55.3 | 14.6 |
| 52.9 | 14.3 |



This entry pairs a crystal structure of MgV2O4 with its theoretical PXRD pattern. Radiation: CuKα. Structure: a structure optimized by DFT (GGA+U).
Kinematic intensities with the Lorentz-polarization factor, no thermal factor.

```
MgV2O4
1.0
9.170 0.000 0.000
0.000 2.964 0.000
0.000 0.000 10.560
Mg V O
4 8 16
Cartesian
2.248 0.741 1.597 Mg
2.337 2.223 6.877 Mg
6.833 0.741 3.683 Mg
6.921 2.223 8.963 Mg
0.588 0.741 4.034 V
0.812 0.741 9.473 V
3.772 2.223 4.193 V
3.997 2.223 9.314 V
5.173 0.741 1.246 V
5.397 0.741 6.367 V
8.357 2.223 1.087 V
8.582 2.223 6.526 V
0.290 2.223 8.282 O
0.829 0.741 6.054 O
1.152 2.223 0.364 O
1.894 2.223 3.331 O
2.691 0.741 8.610 O
3.432 0.741 5.644 O
3.756 2.223 0.774 O
4.295 0.741 3.002 O
4.874 2.223 7.558 O
5.414 0.741 9.785 O
5.737 2.223 4.916 O
6.479 2.223 1.949 O
7.276 0.741 7.229 O
8.017 0.741 10.196 O
8.341 2.223 4.505 O
8.880 0.741 2.278 O
```

Principal peaks in the range 2θ from 10° to 90°, in order of falling intensity:
| 2theta | I/Imax |
| --- | --- |
| 33.9 | 100.0 |
| 36.1 | 84.8 |
| 50.4 | 57.5 |
| 19.4 | 40.2 |
| 62.1 | 30.0 |
| 73.2 | 19.3 |
| 41.0 | 17.2 |
| 62.7 | 17.2 |
| 62.2 | 14.6 |
| 60.7 | 13.0 |



This entry pairs a crystal structure of Li2MnSnP2O8 with its theoretical PXRD pattern. Radiation: CuKα. Structure: a structure optimized by DFT (GGA+U).
Kinematic intensities with the Lorentz-polarization factor, no thermal factor.

```
Li2MnSnP2O8
1.0
4.882 0.000 0.000
0.000 6.524 0.000
-0.267 0.000 11.024
Li Mn Sn P O
4 2 2 4 16
Cartesian
0.000 0.000 0.000 Li
0.000 3.262 0.000 Li
2.307 0.000 5.512 Li
2.307 3.262 5.512 Li
0.090 1.631 7.848 Mn
4.525 4.893 3.176 Mn
2.237 1.631 2.422 Sn
2.377 4.893 8.603 Sn
0.263 4.893 6.358 P
1.719 4.893 1.146 P
2.896 1.631 9.878 P
4.351 1.631 4.666 P
0.850 3.635 7.115 O
0.850 6.151 7.115 O
0.906 4.893 4.939 O
1.018 3.657 1.816 O
1.018 6.129 1.816 O
1.011 1.631 4.696 O
0.979 4.893 10.683 O
1.371 1.631 9.694 O
3.243 4.893 1.330 O
3.636 1.631 0.341 O
3.604 4.893 6.328 O
3.596 0.395 9.208 O
3.596 2.867 9.208 O
3.708 1.631 6.085 O
3.765 0.373 3.909 O
3.765 2.889 3.909 O
```

Principal peaks in the range 2θ from 10° to 90°, in order of falling intensity:
| 2theta | I/Imax |
| --- | --- |
| 24.0 | 100.0 |
| 24.3 | 86.8 |
| 27.3 | 85.5 |
| 33.1 | 62.6 |
| 16.1 | 54.8 |
| 33.8 | 54.5 |
| 35.4 | 30.6 |
| 37.1 | 29.2 |
| 46.5 | 28.1 |
| 20.1 | 25.3 |



This entry pairs a crystal structure of VCo2P2H3NO9 with its theoretical PXRD pattern. Radiation: CuKα. Structure: a structure optimized by DFT (GGA+U).
Kinematic intensities with the Lorentz-polarization factor, no thermal factor.

```
VCo2P2H3NO9
1.0
6.238 0.000 0.000
0.000 7.736 0.000
0.000 0.000 9.850
V Co P H N O
2 4 4 6 2 18
Cartesian
0.000 1.585 0.000 V
0.000 6.151 4.925 V
1.521 3.859 2.306 Co
1.521 3.877 7.231 Co
4.717 3.859 2.306 Co
4.717 3.877 7.231 Co
0.000 1.314 6.698 P
0.000 6.422 1.773 P
3.119 2.552 9.738 P
3.119 5.184 4.813 P
0.000 3.014 8.737 H
0.000 4.722 3.813 H
0.376 2.277 3.943 H
0.376 5.459 8.868 H
5.862 2.277 3.943 H
5.862 5.459 8.868 H
3.119 0.076 2.275 N
3.119 7.660 7.199 N
0.000 0.105 5.713 O
0.000 0.694 8.123 O
0.000 2.731 1.387 O
0.000 5.005 6.312 O
0.000 7.042 3.198 O
0.000 7.631 0.789 O
1.273 2.147 6.455 O
1.273 5.589 1.530 O
1.875 1.663 9.621 O
1.875 6.073 4.696 O
3.119 3.168 1.306 O
3.119 3.630 8.616 O
3.119 4.106 3.691 O
3.119 4.568 6.231 O
4.363 1.663 9.621 O
4.363 6.073 4.696 O
4.965 2.147 6.455 O
4.965 5.589 1.530 O
```

Principal peaks in the range 2θ from 10° to 90°, in order of falling intensity:
| 2theta | I/Imax |
| --- | --- |
| 14.6 | 100.0 |
| 11.4 | 72.9 |
| 29.4 | 54.4 |
| 36.0 | 38.6 |
| 21.4 | 38.2 |
| 18.3 | 25.3 |
| 29.6 | 24.6 |
| 18.0 | 24.6 |
| 30.9 | 23.4 |
| 34.0 | 20.6 |